1.
HfF: computed XRD peak list (a wavelength of 1.5418 Å), based on the PBE geometry in OQMD.
Neutral-atom scattering factors, no anomalous dispersion.

Cell and atoms:
```
data_HfF
_chemical_formula_sum 'Hf4 F4'
_cell_length_a 5.022
_cell_length_b 5.022
_cell_length_c 5.022
_cell_angle_alpha 90.00
_cell_angle_beta 90.00
_cell_angle_gamma 90.00
_symmetry_space_group_name_H-M 'F -4 3 m'
_symmetry_Int_Tables_number 216
_symmetry_space_group_name_Hall 'F -4 2 3'
loop_
_atom_site_label
_atom_site_type_symbol
_atom_site_fract_x
_atom_site_fract_y
_atom_site_fract_z
Hf1 Hf 0.000 0.000 0.000
F1 F 0.250 0.250 0.250
```

Most intense lines, 2θ from 10° to 90°, in order of falling intensity:
30.8 deg, intensity 100, hkl 1 1 1; 51.5 deg, intensity 43, hkl 2 2 0; 61.2 deg, intensity 43, hkl 3 1 1; 35.8 deg, intensity 39, hkl 2 0 0; 84.0 deg, intensity 18, hkl 3 3 1; 86.7 deg, intensity 14, hkl 4 2 0; 64.3 deg, intensity 10, hkl 2 2 2; 75.8 deg, intensity 7, hkl 4 0 0

2.
KRb2HfF7: computed XRD peak list (a wavelength of 1.5418 Å), based on the PBE geometry in OQMD.
Neutral-atom scattering factors, no anomalous dispersion.

Cell and atoms:
```
data_KRb2HfF7
_chemical_formula_sum 'K2 Rb4 Hf2 F14'
_cell_length_a 8.256
_cell_length_b 8.126
_cell_length_c 6.737
_cell_angle_alpha 90.00
_cell_angle_beta 121.69
_cell_angle_gamma 90.00
_symmetry_space_group_name_H-M 'C 1 m 1'
_symmetry_Int_Tables_number 8
_symmetry_space_group_name_Hall 'C -2y'
loop_
_atom_site_label
_atom_site_type_symbol
_atom_site_fract_x
_atom_site_fract_y
_atom_site_fract_z
K1 K 0.000 0.000 0.000
Rb1 Rb 0.492 0.241 0.514
Hf1 Hf 0.042 0.500 0.041
F1 F 0.114 0.279 0.217
F2 F 0.142 0.500 0.819
F3 F 0.337 0.500 0.252
F4 F 0.355 0.165 0.796
F5 F 0.364 0.000 0.168
```

Most intense lines, 2θ from 10° to 90°, in order of falling intensity:
26.9 deg, intensity 100, hkl 0 2 1; 16.7 deg, intensity 64, hkl 1 1 0; 28.0 deg, intensity 49, hkl 2 0 -2; 25.4 deg, intensity 46, hkl 2 0 0; 17.7 deg, intensity 40, hkl 1 1 -1; 42.8 deg, intensity 36, hkl 2 2 1; 31.0 deg, intensity 33, hkl 2 2 -1; 46.2 deg, intensity 30, hkl 2 2 -3; 44.1 deg, intensity 22, hkl 4 0 -2; 52.0 deg, intensity 17, hkl 2 4 0; 31.2 deg, intensity 17, hkl 0 0 2; 44.6 deg, intensity 16, hkl 0 4 0

Repeat the second record exactly.
KRb2HfF7: computed XRD peak list (a wavelength of 1.5418 Å), based on the PBE geometry in OQMD.
Neutral-atom scattering factors, no anomalous dispersion.

Cell and atoms:
```
data_KRb2HfF7
_chemical_formula_sum 'K2 Rb4 Hf2 F14'
_cell_length_a 8.256
_cell_length_b 8.126
_cell_length_c 6.737
_cell_angle_alpha 90.00
_cell_angle_beta 121.69
_cell_angle_gamma 90.00
_symmetry_space_group_name_H-M 'C 1 m 1'
_symmetry_Int_Tables_number 8
_symmetry_space_group_name_Hall 'C -2y'
loop_
_atom_site_label
_atom_site_type_symbol
_atom_site_fract_x
_atom_site_fract_y
_atom_site_fract_z
K1 K 0.000 0.000 0.000
Rb1 Rb 0.492 0.241 0.514
Hf1 Hf 0.042 0.500 0.041
F1 F 0.114 0.279 0.217
F2 F 0.142 0.500 0.819
F3 F 0.337 0.500 0.252
F4 F 0.355 0.165 0.796
F5 F 0.364 0.000 0.168
```

Most intense lines, 2θ from 10° to 90°, in order of falling intensity:
26.9 deg, intensity 100, hkl 0 2 1; 16.7 deg, intensity 64, hkl 1 1 0; 28.0 deg, intensity 49, hkl 2 0 -2; 25.4 deg, intensity 46, hkl 2 0 0; 17.7 deg, intensity 40, hkl 1 1 -1; 42.8 deg, intensity 36, hkl 2 2 1; 31.0 deg, intensity 33, hkl 2 2 -1; 46.2 deg, intensity 30, hkl 2 2 -3; 44.1 deg, intensity 22, hkl 4 0 -2; 52.0 deg, intensity 17, hkl 2 4 0; 31.2 deg, intensity 17, hkl 0 0 2; 44.6 deg, intensity 16, hkl 0 4 0

Please write out number 1 again, unchanged.
HfF: computed XRD peak list (a wavelength of 1.5418 Å), based on the PBE geometry in OQMD.
Neutral-atom scattering factors, no anomalous dispersion.

Cell and atoms:
```
data_HfF
_chemical_formula_sum 'Hf4 F4'
_cell_length_a 5.022
_cell_length_b 5.022
_cell_length_c 5.022
_cell_angle_alpha 90.00
_cell_angle_beta 90.00
_cell_angle_gamma 90.00
_symmetry_space_group_name_H-M 'F -4 3 m'
_symmetry_Int_Tables_number 216
_symmetry_space_group_name_Hall 'F -4 2 3'
loop_
_atom_site_label
_atom_site_type_symbol
_atom_site_fract_x
_atom_site_fract_y
_atom_site_fract_z
Hf1 Hf 0.000 0.000 0.000
F1 F 0.250 0.250 0.250
```

Most intense lines, 2θ from 10° to 90°, in order of falling intensity:
30.8 deg, intensity 100, hkl 1 1 1; 51.5 deg, intensity 43, hkl 2 2 0; 61.2 deg, intensity 43, hkl 3 1 1; 35.8 deg, intensity 39, hkl 2 0 0; 84.0 deg, intensity 18, hkl 3 3 1; 86.7 deg, intensity 14, hkl 4 2 0; 64.3 deg, intensity 10, hkl 2 2 2; 75.8 deg, intensity 7, hkl 4 0 0